Entry 1:
For Y2Ag2F, a crystal structure in Alexandria, relaxed with PBE gives the calculated X-ray powder pattern in this record (copper Kα).
Neutral-atom scattering factors, no anomalous dispersion.

Crystal structure
a = 6.7732 Å, b = 6.7732 Å, c = 4.9202 Å
α = 90.00°, β = 90.00°, γ = 90.00°
Space group P4/mbm (No. 127)
Asymmetric unit:
Y 0.1730 0.3270 0.0000 [4 per cell]
Ag 0.1411 0.6411 0.5000 [4 per cell]
F 0.0000 0.0000 0.0000 [2 per cell]

Principal peaks in the range 2θ from 10° to 80°, by angle:
d/Å	intensity	(hkl)
4.789	16	1 1 0
3.387	9	2 0 0
2.579	100	2 1 1
2.460	22	0 0 2
2.142	16	3 1 0
1.615	13	3 1 2
1.558	11	4 1 1
1.442	15	2 1 3
1.339	7	3 3 2
1.219	10	5 2 1


Entry 2:
For Tm4AgPdRu2, a crystal structure in Alexandria, relaxed with PBE gives the calculated X-ray powder pattern in this record (copper Kα).
Neutral-atom scattering factors, no anomalous dispersion.

Crystal structure
a = 4.8456 Å, b = 4.8456 Å, c = 23.8012 Å
α = 90.00°, β = 90.00°, γ = 120.00°
Space group R-3m (No. 166, hexagonal axes)
Asymmetric unit:
Tm 0.0000 0.0000 0.1230 [6 per cell]
Tm 0.0000 0.0000 0.3734 [6 per cell]
Ag 0.0000 0.0000 0.5000 [3 per cell]
Pd 0.0000 0.0000 0.0000 [3 per cell]
Ru 0.0000 0.0000 0.2498 [6 per cell]

Principal peaks in the range 2θ from 10° to 80°, by angle:
d/Å	intensity	(hkl)
3.429	6	1 0 4
2.425	100	1 1 0
1.979	1	0 2 4
1.715	17	2 0 8
1.534	3	2 1 4
1.402	9	1 0 16
1.399	26	3 0 0
1.214	5	0 2 16
1.211	5	2 2 0


Entry 3:
For SrIn8Rh2, a crystal structure in Alexandria, relaxed with PBE gives the calculated X-ray powder pattern in this record (copper Kα).
Neutral-atom scattering factors, no anomalous dispersion.

Crystal structure
a = 14.1160 Å, b = 16.3833 Å, c = 4.4263 Å
α = 90.00°, β = 90.00°, γ = 90.00°
Space group Pbam (No. 55)
Asymmetric unit:
Sr 0.1571 0.1803 0.0000 [4 per cell]
In 0.0000 0.0000 0.0000 [2 per cell]
In 0.0000 0.5000 0.5000 [2 per cell]
In 0.0207 0.8662 0.5000 [4 per cell]
In 0.0505 0.3165 0.5000 [4 per cell]
In 0.1011 0.7463 0.0000 [4 per cell]
In 0.1600 0.4558 0.0000 [4 per cell]
In 0.1666 0.6221 0.5000 [4 per cell]
In 0.1702 0.0112 0.5000 [4 per cell]
In 0.2403 0.8230 0.5000 [4 per cell]
Rh 0.0341 0.5951 0.0000 [4 per cell]
Rh 0.1540 0.9035 0.0000 [4 per cell]

Principal peaks in the range 2θ from 10° to 80°, by angle:
d/Å	intensity	(hkl)
2.940	69	1 4 1
2.776	100	3 3 1
2.760	29	4 0 1
2.721	32	4 1 1
2.324	68	0 6 1
2.298	76	3 5 1
2.286	62	5 2 1
2.261	26	6 2 0
2.222	36	2 7 0
2.213	74	0 0 2